The following is a theoretical powder XRD pattern of NaSrCrF6. It was derived from a structure optimized by DFT (GGA+U), using Cu Ka.
Peak positions follow from Bragg's law for the DFT cell and can differ from measured ones.

Largest 8 diffraction maxima, in order of rising 2θ, 2θ = 15–90°:
hkl 1 1 -1, 20.0 deg, intensity 40.5
hkl 0 2 1, 21.0 deg, intensity 39.7
hkl 1 1 -2, 25.1 deg, intensity 100.0
hkl 1 2 -1, 25.9 deg, intensity 47.8
hkl 0 2 2, 26.3 deg, intensity 39.4
hkl 1 1 2, 26.5 deg, intensity 72.4
hkl 2 3 -1, 43.7 deg, intensity 39.5
hkl 2 3 1, 44.6 deg, intensity 39.4

```
data_NaSrCrF6
_chemical_formula_sum 'Na4 Sr4 Cr4 F24'
_space_group_name_H-M_alt 'P 1 21/c 1'
_space_group_IT_number 14
_cell_length_a 5.682
_cell_length_b 9.365
_cell_length_c 9.845
_cell_angle_alpha 90.00
_cell_angle_beta 93.70
_cell_angle_gamma 90.00
loop_
_space_group_symop_operation_xyz
'x,y,z'
'-x,-y,-z'
'-x,y+1/2,-z+1/2'
'x,-y+1/2,z+1/2'
loop_
_atom_site_label
_atom_site_type_symbol
_atom_site_fract_x
_atom_site_fract_y
_atom_site_fract_z
Na1 Na 0.223 0.047 0.398
Sr1 Sr 0.265 0.673 0.509
Cr1 Cr 0.269 0.082 0.736
F1 F 0.027 0.183 0.626
F2 F 0.033 0.029 0.863
F3 F 0.180 0.588 0.126
F4 F 0.364 0.241 0.850
F5 F 0.495 0.628 0.892
F6 F 0.499 0.025 0.149
```

The following is a theoretical powder XRD pattern of Na2TlCrF6. It was derived from a structure optimized by DFT (GGA+U), using Cu Ka.
Peak positions follow from Bragg's law for the DFT cell and can differ from measured ones.

Largest 8 diffraction maxima, in order of rising 2θ, 2θ = 15–90°:
hkl 1 1 1, 17.1 deg, intensity 37.4
hkl 2 0 0, 19.8 deg, intensity 100.0
hkl 2 2 0, 28.1 deg, intensity 98.9
hkl 3 1 1, 33.0 deg, intensity 40.9
hkl 4 0 0, 40.1 deg, intensity 42.3
hkl 3 3 1, 43.9 deg, intensity 28.0
hkl 4 2 0, 45.1 deg, intensity 40.2
hkl 4 2 2, 49.7 deg, intensity 37.6

```
data_Na2TlCrF6
_chemical_formula_sum 'Na8 Tl4 Cr4 F24'
_space_group_name_H-M_alt 'F m -3 m'
_space_group_IT_number 225
_space_group_name_Hall '-F 4 2 3'
_cell_length_a 8.990
_cell_length_b 8.990
_cell_length_c 8.990
_cell_angle_alpha 90.00
_cell_angle_beta 90.00
_cell_angle_gamma 90.00
loop_
_atom_site_label
_atom_site_type_symbol
_atom_site_fract_x
_atom_site_fract_y
_atom_site_fract_z
Na1 Na 0.250 0.250 0.250
Tl1 Tl 0.000 0.000 0.000
Cr1 Cr 0.000 0.000 0.500
F1 F 0.000 0.000 0.286
```

The following is a theoretical powder XRD pattern of NbCrF6. It was derived from a structure optimized by DFT (GGA+U), using Cu Ka.
Peak positions follow from Bragg's law for the DFT cell and can differ from measured ones.

Largest 8 diffraction maxima, in order of rising 2θ, 2θ = 15–90°:
hkl 1 0 1, 18.5 deg, intensity 17.8
hkl 0 0 2, 20.4 deg, intensity 60.2
hkl 1 1 0, 21.8 deg, intensity 100.0
hkl 1 1 2, 30.0 deg, intensity 29.7
hkl 2 2 0, 44.4 deg, intensity 26.9
hkl 1 1 4, 47.4 deg, intensity 20.5
hkl 2 2 2, 49.4 deg, intensity 20.0
hkl 3 1 0, 50.0 deg, intensity 18.7

```
data_NbCrF6
_chemical_formula_sum 'Nb2 Cr2 F12'
_space_group_name_H-M_alt 'I 4/m m m'
_space_group_IT_number 139
_space_group_name_Hall '-I 4 2'
_cell_length_a 5.767
_cell_length_b 5.767
_cell_length_c 8.704
_cell_angle_alpha 90.00
_cell_angle_beta 90.00
_cell_angle_gamma 90.00
loop_
_atom_site_label
_atom_site_type_symbol
_atom_site_fract_x
_atom_site_fract_y
_atom_site_fract_z
Nb1 Nb 0.000 0.000 0.000
Cr1 Cr 0.000 0.000 0.500
F1 F 0.000 0.000 0.223
F2 F 0.248 0.248 0.500
```

The following is a theoretical powder XRD pattern of CrNiF6. It was derived from a structure optimized by DFT (GGA+U), using Cu Ka.
Peak positions follow from Bragg's law for the DFT cell and can differ from measured ones.

Largest 8 diffraction maxima, in order of rising 2θ, 2θ = 15–90°:
hkl 0 1 2, 24.1 deg, intensity 100.0
hkl 1 0 4, 33.4 deg, intensity 19.9
hkl 2 -1 3, 40.6 deg, intensity 18.0
hkl 0 2 4, 49.3 deg, intensity 18.4
hkl 1 1 6, 54.4 deg, intensity 26.0
hkl 1 2 2, 56.7 deg, intensity 12.1
hkl 2 1 4, 61.9 deg, intensity 8.3
hkl 3 0 0, 63.0 deg, intensity 9.6

```
data_CrNiF6
_chemical_formula_sum 'Cr3 Ni3 F18'
_space_group_name_H-M_alt 'R -3'
_space_group_IT_number 148
_space_group_name_Hall '-R 3'
_cell_length_a 5.1103
_cell_length_b 5.1103
_cell_length_c 13.4907
_cell_angle_alpha 90.00
_cell_angle_beta 90.00
_cell_angle_gamma 120.00
loop_
_atom_site_label
_atom_site_type_symbol
_atom_site_fract_x
_atom_site_fract_y
_atom_site_fract_z
Cr1 Cr 0.0000 0.0000 0.0000
Ni1 Ni 0.0000 0.0000 0.5000
F1 F 0.0155 0.6171 0.7464
```

The following is a theoretical powder XRD pattern of TlCrNiF6. It was derived from a structure optimized by DFT (GGA+U), using Cu Ka.
Peak positions follow from Bragg's law for the DFT cell and can differ from measured ones.

Largest 8 diffraction maxima, in order of rising 2θ, 2θ = 15–90°:
hkl 0 2 0, 24.3 deg, intensity 66.1
hkl 0 1 3, 28.5 deg, intensity 100.0
hkl 2 1 1, 28.6 deg, intensity 47.3
hkl 1 3 2, 42.6 deg, intensity 12.1
hkl 0 3 3, 45.4 deg, intensity 21.4
hkl 3 0 3, 45.6 deg, intensity 17.0
hkl 0 4 0, 49.7 deg, intensity 42.5
hkl 2 1 7, 69.5 deg, intensity 18.8

```
data_TlCrNiF6
_chemical_formula_sum 'Tl4 Cr4 Ni4 F24'
_space_group_name_H-M_alt 'I m m a'
_space_group_IT_number 74
_space_group_name_Hall '-I 2b 2'
_cell_length_a 7.295
_cell_length_b 7.346
_cell_length_c 10.391
_cell_angle_alpha 90.00
_cell_angle_beta 90.00
_cell_angle_gamma 90.00
loop_
_atom_site_label
_atom_site_type_symbol
_atom_site_fract_x
_atom_site_fract_y
_atom_site_fract_z
Tl1 Tl 0.000 0.250 0.118
Cr1 Cr 0.000 0.000 0.500
Ni1 Ni 0.250 0.250 0.750
F1 F 0.000 0.250 0.432
F2 F 0.000 0.250 0.827
F3 F 0.193 0.048 0.623
```